For NaInSn, a cell relaxed with GGA-PBE gives the calculated powder X-ray diffraction pattern in this record (a wavelength of 1.5418 Å).
Kinematic intensities with the Lorentz-polarization factor, no thermal factor.

Unit cell a=3.253 b=5.386 c=9.160 alpha=90.00 beta=90.19 gamma=90.00
Fractional positions:
Na (0.000, 0.250, 0.247)
Na (0.000, 0.750, 0.753)
In (0.499, 0.250, 0.580)
In (0.501, 0.750, 0.420)
Sn (0.496, 0.750, 0.084)
Sn (0.504, 0.250, 0.916)

Top 10 peaks for 2θ = 10–80°, in order of rising 2θ:
- 2θ 19.12, rel. 44
- 2θ 19.38, rel. 24
- 2θ 27.42, rel. 49
- 2θ 33.27, rel. 45
- 2θ 33.64, rel. 51
- 2θ 33.74, rel. 100
- 2θ 43.63, rel. 28
- 2θ 43.94, rel. 28
- 2θ 44.08, rel. 28
- 2θ 59.73, rel. 26

=====

For Mg2MnReN4, a cell relaxed with GGA-PBE gives the calculated powder X-ray diffraction pattern in this record (a wavelength of 1.5418 Å).
Kinematic intensities with the Lorentz-polarization factor, no thermal factor.

Unit cell a=5.784 b=5.784 c=5.784 alpha=132.75 beta=132.75 gamma=69.04
Fractional positions:
Mg (0.250, 0.750, 0.500)
Mg (0.750, 0.250, 0.500)
Mn (0.000, 0.000, 0.000)
Re (0.500, 0.500, 0.000)
N (0.153, 0.618, 0.000)
N (0.382, 0.382, 0.535)
N (0.618, 0.153, 0.000)
N (0.847, 0.847, 0.465)

Top 10 peaks for 2θ = 10–80°, in order of rising 2θ:
- 2θ 18.62, rel. 45
- 2θ 21.31, rel. 58
- 2θ 27.20, rel. 34
- 2θ 33.17, rel. 100
- 2θ 34.21, rel. 16
- 2θ 38.85, rel. 21
- 2θ 43.41, rel. 18
- 2θ 44.74, rel. 16
- 2θ 55.29, rel. 29
- 2θ 66.76, rel. 25

=====

For ZnAu, a cell relaxed with GGA-PBE gives the calculated powder X-ray diffraction pattern in this record (a wavelength of 1.5418 Å).
Kinematic intensities with the Lorentz-polarization factor, no thermal factor.

Unit cell a=7.325 b=7.325 c=4.678 alpha=90.00 beta=90.00 gamma=120.00
Fractional positions:
Zn (0.057, 0.266, 0.250)
Zn (0.210, 0.943, 0.250)
Zn (0.266, 0.210, 0.750)
Zn (0.734, 0.790, 0.250)
Zn (0.790, 0.057, 0.750)
Zn (0.943, 0.734, 0.750)
Au (0.090, 0.454, 0.750)
Au (0.364, 0.910, 0.750)
Au (0.454, 0.364, 0.250)
Au (0.546, 0.636, 0.750)
Au (0.636, 0.090, 0.250)
Au (0.910, 0.546, 0.250)

Top 10 peaks for 2θ = 10–80°, in order of rising 2θ:
- 2θ 23.63, rel. 30
- 2θ 24.30, rel. 19
- 2θ 31.01, rel. 22
- 2θ 37.51, rel. 40
- 2θ 38.49, rel. 31
- 2θ 42.36, rel. 100
- 2θ 54.83, rel. 27
- 2θ 61.76, rel. 12
- 2θ 67.68, rel. 14
- 2θ 72.27, rel. 20

=====

For CrAgTe2, a cell relaxed with GGA-PBE gives the calculated powder X-ray diffraction pattern in this record (a wavelength of 1.5418 Å).
Kinematic intensities with the Lorentz-polarization factor, no thermal factor.

Unit cell a=4.036 b=4.036 c=24.617 alpha=90.00 beta=90.00 gamma=120.00
Fractional positions:
Cr (0.000, 0.329, 0.333)
Cr (0.329, 0.000, 0.667)
Cr (0.671, 0.671, 0.000)
Ag (0.000, 0.336, 0.833)
Ag (0.336, 0.000, 0.167)
Ag (0.664, 0.664, 0.500)
Te (0.004, 0.338, 0.942)
Te (0.333, 0.996, 0.275)
Te (0.338, 0.004, 0.058)
Te (0.662, 0.667, 0.608)
Te (0.667, 0.662, 0.392)
Te (0.996, 0.333, 0.725)

Top 10 peaks for 2θ = 10–80°, in order of rising 2θ:
- 2θ 25.74, rel. 100
- 2θ 26.51, rel. 71
- 2θ 31.38, rel. 31
- 2θ 32.74, rel. 26
- 2θ 39.00, rel. 58
- 2θ 44.91, rel. 60
- 2θ 45.04, rel. 50
- 2θ 56.68, rel. 32
- 2θ 65.50, rel. 16
- 2θ 78.82, rel. 19